Diffraction record for BiSeClO3. The powder diffraction line list is theoretical, not measured: it uses a PBE-relaxed structure and CuKα.
Kinematic intensities with the Lorentz-polarization factor, no thermal factor.

Principal peaks in the range 15° ≤ 2θ ≤ 90°, sorted by position:
| 2θ (°) | I/Imax | (hkl) |
| --- | --- | --- |
| 16.76 | 100 | 1 0 1 |
| 24.20 | 30 | 1 0 2 |
| 25.92 | 28 | 1 2 0 |
| 26.61 | 59 | 1 1 2 |
| 27.83 | 46 | 1 2 1 |
| 32.20 | 25 | 0 1 3 |
| 35.20 | 18 | 2 2 0 |
| 42.57 | 22 | 2 1 3 |
| 46.18 | 17 | 0 4 1 |
| 51.71 | 17 | 1 4 2 |

Cell and atoms:
Cell: 6.5833 8.0607 8.8841 Å, 90.00 90.00 90.00°
Space group P2_12_12_1 (No. 19)
One atom of each set of equivalent atoms:
Bi: 0.0388 0.1947 0.3229
Se: 0.1479 0.0885 0.9494
Cl: 0.2494 0.5149 0.8457
O: 0.1261 0.8936 0.3486
O: 0.1654 0.8721 0.9656
O: 0.2358 0.1565 0.1232



Diffraction record for Bi3Se2ClO8. The powder diffraction line list is theoretical, not measured: it uses a PBE-relaxed structure and CuKα.
Kinematic intensities with the Lorentz-polarization factor, no thermal factor.

Principal peaks in the range 15° ≤ 2θ ≤ 90°, sorted by position:
| 2θ (°) | I/Imax | (hkl) |
| --- | --- | --- |
| 16.16 | 98 | 1 0 1 |
| 16.43 | 47 | 0 2 0 |
| 19.83 | 45 | 0 2 1 |
| 26.21 | 71 | 2 0 1 |
| 27.50 | 45 | 1 3 0 |
| 27.69 | 91 | 0 2 2 |
| 28.98 | 66 | 2 2 0 |
| 31.09 | 100 | 2 2 1 |
| 47.27 | 54 | 2 4 2 |
| 56.78 | 49 | 2 6 0 |

Cell and atoms:
Cell: 7.5057 10.7882 8.0330 Å, 90.00 90.00 90.00°
Space group Pmmn (No. 59, origin choice 2)
One atom of each set of equivalent atoms:
Bi: 0.0000 0.0000 0.0000
Bi: 0.2500 0.2500 0.2525
Se: 0.2500 0.5657 0.3877
Cl: 0.2500 0.7500 0.8773
O: 0.0647 0.5798 0.2589
O: 0.2500 0.0913 0.4400
O: 0.2500 0.1140 0.0375



Diffraction record for Bi3Te4Cl5O10. The powder diffraction line list is theoretical, not measured: it uses a PBE-relaxed structure and CuKα.
Kinematic intensities with the Lorentz-polarization factor, no thermal factor.

Principal peaks in the range 15° ≤ 2θ ≤ 90°, sorted by position:
| 2θ (°) | I/Imax | (hkl) |
| --- | --- | --- |
| 19.79 | 31 | 0 0 3 |
| 21.50 | 35 | 2 0 -3 |
| 23.13 | 50 | 4 0 -1 |
| 23.59 | 25 | 1 1 1 |
| 26.48 | 100 | 0 0 4 |
| 27.82 | 52 | 3 1 0 |
| 28.04 | 58 | 3 1 -1 |
| 35.80 | 48 | 3 1 3 |
| 44.08 | 33 | 0 2 0 |
| 47.18 | 31 | 7 1 -2 |

Cell and atoms:
Cell: 15.5392 4.1092 13.5903 Å, 90.00 97.96 90.00°
Space group C2/m (No. 12)
One atom of each set of equivalent atoms:
Bi: 0.0000 0.0000 0.0000
Bi: 0.2160 0.0000 0.8040
Te: 0.0272 0.5000 0.7704
Te: 0.1621 0.0000 0.5051
Cl: 0.0000 0.5000 0.5000
Cl: 0.1500 0.0000 0.2727
Cl: 0.1748 0.0000 0.0244
O: 0.0042 0.5000 0.0993
O: 0.0614 0.0000 0.7986
O: 0.1534 0.5000 0.7965
O: 0.1668 0.0000 0.6420
O: 0.2076 0.5000 0.5006



Diffraction record for TmBi2ClO4. The powder diffraction line list is theoretical, not measured: it uses a PBE-relaxed structure and CuKα.
Kinematic intensities with the Lorentz-polarization factor, no thermal factor.

Principal peaks in the range 15° ≤ 2θ ≤ 90°, sorted by position:
| 2θ (°) | I/Imax | (hkl) |
| --- | --- | --- |
| 22.97 | 12 | 1 0 0 |
| 25.04 | 18 | 1 0 1 |
| 30.45 | 100 | 1 0 2 |
| 32.71 | 35 | 1 1 0 |
| 44.80 | 16 | 1 1 3 |
| 46.94 | 20 | 2 0 0 |
| 52.63 | 20 | 1 1 4 |
| 56.32 | 10 | 1 0 5 |
| 56.98 | 35 | 2 1 2 |
| 85.66 | 10 | 2 1 6 |

Cell and atoms:
Cell: 3.8714 3.8714 9.0083 Å, 90.00 90.00 90.00°
Space group P4/mmm (No. 123)
One atom of each set of equivalent atoms:
Tm: 0.0000 0.0000 0.0000
Bi: 0.5000 0.5000 0.2770
Cl: 0.0000 0.0000 0.5000
O: 0.0000 0.5000 0.1504



Diffraction record for Bi12PtCl12. The powder diffraction line list is theoretical, not measured: it uses a PBE-relaxed structure and CuKα.
Kinematic intensities with the Lorentz-polarization factor, no thermal factor.

Principal peaks in the range 15° ≤ 2θ ≤ 90°, sorted by position:
| 2θ (°) | I/Imax | (hkl) |
| --- | --- | --- |
| 22.80 | 34 | 2 1 1 |
| 23.14 | 40 | -1 1 2 |
| 23.48 | 31 | 1 -2 1 |
| 29.59 | 30 | 1 0 3 |
| 29.71 | 100 | 0 1 -3 |
| 29.91 | 36 | 0 3 1 |
| 30.32 | 42 | 3 0 -1 |
| 30.67 | 32 | 3 -1 0 |
| 33.40 | 34 | -2 2 2 |
| 48.37 | 44 | 1 3 4 |

Cell and atoms:
Cell: 9.3346 9.4148 9.5430 Å, 89.43 89.44 87.59°
Space group P1 (No. 1)
One atom of each set of equivalent atoms:
Bi: 0.0000 0.0000 0.0000
Bi: 0.0000 0.2317 0.7913
Bi: 0.1659 0.5438 0.2790
Bi: 0.1755 0.9398 0.7232
Bi: 0.4211 0.2152 0.2073
Bi: 0.4220 0.5413 0.9547
Bi: 0.4907 0.4574 0.5228
Bi: 0.4928 0.7879 0.2731
Bi: 0.7452 0.0005 0.7999
Bi: 0.7475 0.4618 0.1974
Bi: 0.9110 0.7639 0.6374
Bi: 0.9328 0.0491 0.5120
Pt: 0.4567 0.5019 0.2389
Cl: 0.1252 0.2527 0.2570
Cl: 0.1250 0.5742 0.9894
Cl: 0.1947 0.5045 0.5713
Cl: 0.1959 0.8399 0.3129
Cl: 0.3846 0.2534 0.9129
Cl: 0.4537 0.8404 0.9828
Cl: 0.4608 0.1649 0.4926
Cl: 0.5282 0.7508 0.5649
Cl: 0.7177 0.1633 0.1711
Cl: 0.7206 0.4934 0.9069
Cl: 0.7882 0.4213 0.4885
Cl: 0.7881 0.7506 0.2287



Diffraction record for Bi12Rh3Cl2. The powder diffraction line list is theoretical, not measured: it uses a PBE-relaxed structure and CuKα.
Kinematic intensities with the Lorentz-polarization factor, no thermal factor.

Principal peaks in the range 15° ≤ 2θ ≤ 90°, sorted by position:
| 2θ (°) | I/Imax | (hkl) |
| --- | --- | --- |
| 26.41 | 51 | 2 2 0 |
| 27.00 | 28 | 2 2 2 |
| 29.74 | 34 | 0 2 10 |
| 31.32 | 48 | 2 2 6 |
| 32.10 | 25 | 1 3 9 |
| 32.44 | 100 | 1 5 5 |
| 33.42 | 33 | 0 0 12 |
| 37.09 | 31 | 2 0 10 |
| 39.63 | 37 | 3 1 5 |
| 42.05 | 50 | 1 7 5 |

Cell and atoms:
Cell: 7.3707 16.7831 32.1716 Å, 90.00 90.00 90.00°
Space group Fddd (No. 70, origin choice 2)
One atom of each set of equivalent atoms:
Bi: 0.0033 0.2526 0.0724
Bi: 0.0812 0.3363 0.5132
Bi: 0.0895 0.3216 0.9278
Rh: 0.0000 0.0000 0.0000
Rh: 0.1250 0.1250 0.1250
Cl: 0.1250 0.3343 0.6250



Diffraction record for BiSCl. The powder diffraction line list is theoretical, not measured: it uses a PBE-relaxed structure and CuKα.
Kinematic intensities with the Lorentz-polarization factor, no thermal factor.

Principal peaks in the range 15° ≤ 2θ ≤ 90°, sorted by position:
| 2θ (°) | I/Imax | (hkl) |
| --- | --- | --- |
| 20.20 | 71 | 1 0 2 |
| 23.67 | 99 | 2 0 1 |
| 30.10 | 100 | 1 1 2 |
| 31.43 | 54 | 2 1 0 |
| 33.95 | 47 | 0 1 3 |
| 35.79 | 37 | 1 1 3 |
| 45.04 | 30 | 0 2 0 |
| 47.11 | 43 | 2 1 4 |
| 48.95 | 29 | 2 0 5 |
| 51.51 | 38 | 4 1 1 |

Cell and atoms:
Cell: 8.0496 4.0262 10.4931 Å, 90.00 90.00 90.00°
Space group Pnma (No. 62)
One atom of each set of equivalent atoms:
Bi: 0.1210 0.2500 0.1338
S: 0.1799 0.7500 0.9615
Cl: 0.0281 0.2500 0.7036



Diffraction record for Bi5S6Cl3. The powder diffraction line list is theoretical, not measured: it uses a PBE-relaxed structure and CuKα.
Kinematic intensities with the Lorentz-polarization factor, no thermal factor.

Principal peaks in the range 15° ≤ 2θ ≤ 90°, sorted by position:
| 2θ (°) | I/Imax | (hkl) |
| --- | --- | --- |
| 23.31 | 62 | 1 0 2 |
| 23.45 | 100 | 2 1 -3 |
| 23.53 | 90 | 1 -3 2 |
| 23.68 | 88 | -3 2 1 |
| 26.54 | 72 | 0 0 3 |
| 28.01 | 69 | 1 3 -1 |
| 32.05 | 34 | 3 2 -2 |
| 32.16 | 50 | -2 2 3 |
| 34.56 | 37 | 1 4 -2 |
| 39.24 | 32 | -3 2 4 |

Cell and atoms:
Cell: 12.2195 12.2348 12.3153 Å, 109.66 109.33 108.77°
Space group P1 (No. 1)
One atom of each set of equivalent atoms:
Bi: 0.0000 0.0000 0.0000
Bi: 0.0007 0.4364 0.1301
Bi: 0.0818 0.8054 0.6566
Bi: 0.1988 0.7339 0.0559
Bi: 0.2672 0.4061 0.9578
Bi: 0.2774 0.5679 0.7273
Bi: 0.2889 0.1180 0.5843
Bi: 0.3198 0.3465 0.3207
Bi: 0.3473 0.7167 0.4533
Bi: 0.3837 0.0747 0.9981
Bi: 0.4927 0.0549 0.3728
Bi: 0.6053 0.4572 0.9072
Bi: 0.6418 0.8769 0.0424
Bi: 0.6659 0.6897 0.6973
Bi: 0.6684 0.0562 0.7915
Bi: 0.6732 0.8138 0.3878
Bi: 0.7734 0.4986 0.3244
Bi: 0.8242 0.3984 0.7149
Bi: 0.9333 0.2032 0.3432
Bi: 0.9683 0.7857 0.2576
S: 0.0183 0.6277 0.3481
S: 0.0538 0.9444 0.5227
S: 0.1263 0.5027 0.8404
S: 0.1360 0.2584 0.0824
S: 0.1428 0.0271 0.8513
S: 0.1886 0.4556 0.4009
S: 0.2427 0.5806 0.1708
S: 0.2642 0.8967 0.3488
S: 0.3073 0.8099 0.8913
S: 0.3087 0.0504 0.1646
S: 0.3788 0.2595 0.8442
S: 0.4534 0.5896 0.9482
S: 0.4878 0.8450 0.2099
S: 0.5024 0.7801 0.7294
S: 0.5049 0.6174 0.4209
S: 0.5775 0.9432 0.5347
S: 0.6052 0.2506 0.7085
S: 0.7143 0.6307 0.1990
S: 0.7606 0.7494 0.9595
S: 0.8215 0.7077 0.5294
S: 0.8221 0.9513 0.2859
S: 0.8235 0.9421 0.7650
S: 0.8398 0.0932 0.0738
S: 0.9366 0.5757 0.0174
Cl: 0.1273 0.1239 0.3150
Cl: 0.1393 0.2768 0.6056
Cl: 0.3659 0.9686 0.6859
Cl: 0.4519 0.4449 0.6508
Cl: 0.4708 0.3674 0.1652
Cl: 0.6497 0.3928 0.5048
Cl: 0.6690 0.1618 0.2291
Cl: 0.7062 0.3232 0.0407
Cl: 0.8081 0.1890 0.5346
Cl: 0.9062 0.2577 0.8500
Cl: 0.9675 0.7101 0.8220
Cl: 0.9779 0.4852 0.5351



Diffraction record for Bi2Se4Cl7. The powder diffraction line list is theoretical, not measured: it uses a PBE-relaxed structure and CuKα.
Kinematic intensities with the Lorentz-polarization factor, no thermal factor.

Principal peaks in the range 15° ≤ 2θ ≤ 90°, sorted by position:
| 2θ (°) | I/Imax | (hkl) |
| --- | --- | --- |
| 15.23 | 93 | 1 2 1 |
| 17.04 | 100 | 0 1 -2 |
| 17.73 | 41 | 1 2 2 |
| 19.14 | 54 | 2 2 1 |
| 21.28 | 50 | 2 2 2 |
| 21.87 | 98 | 2 0 -2 |
| 25.70 | 48 | 0 1 4 |
| 30.62 | 60 | 3 2 3 |
| 32.43 | 51 | 0 4 2 |
| 42.97 | 52 | 0 1 -6 |

Cell and atoms:
Cell: 10.7591 12.0946 13.9326 Å, 75.78 86.27 67.90°
Space group P-1 (No. 2)
One atom of each set of equivalent atoms:
Bi: 0.0016 0.1678 0.1905
Bi: 0.2123 0.9528 0.5037
Bi: 0.3261 0.9384 0.0102
Bi: 0.3588 0.1565 0.6818
Se: 0.0678 0.5135 0.3042
Se: 0.1327 0.6033 0.4141
Se: 0.1447 0.6139 0.1597
Se: 0.2511 0.4522 0.0811
Se: 0.3595 0.4693 0.4174
Se: 0.3962 0.3047 0.2122
Se: 0.4100 0.5777 0.2644
Se: 0.4622 0.5837 0.8116
Cl: 0.0191 0.9418 0.3868
Cl: 0.0978 0.5987 0.8383
Cl: 0.1263 0.2025 0.0291
Cl: 0.1749 0.1258 0.8011
Cl: 0.1759 0.9037 0.1605
Cl: 0.1931 0.7582 0.6165
Cl: 0.1972 0.1523 0.3007
Cl: 0.2032 0.2281 0.5279
Cl: 0.2349 0.7958 0.9262
Cl: 0.2972 0.3849 0.6786
Cl: 0.3971 0.8028 0.4112
Cl: 0.4145 0.9194 0.6311
Cl: 0.4686 0.0107 0.1272
Cl: 0.4860 0.2717 0.9258